[1]
Structure and calculated powder diffractogram of BaCu2Tc (a crystal structure in Alexandria, relaxed with GGA-PBE; Cu Kα).

Cell and atoms:
```
4
Lattice="2.1706 1.2532 5.6824 -2.1706 1.2532 5.6824 0.0000 -2.5064 5.6824" Properties=species:S:1:pos:R:3 pbc="T T T"
Ba 0.0000 0.0000 0.0000
Cu 0.0000 0.0000 3.1513
Cu 0.0000 0.0000 13.8959
Tc 0.0000 0.0000 8.5236
```

Main lines, by angle (15° ≤ 2θ ≤ 90°):
2θ 15.59, I 30
2θ 24.24, I 22
2θ 25.90, I 50
2θ 31.49, I 61
2θ 31.74, I 77
2θ 35.55, I 27
2θ 41.61, I 100
2θ 53.10, I 80
2θ 53.26, I 17
2θ 59.54, I 24
2θ 75.93, I 16
2θ 84.50, I 21

=====

[2]
Structure and calculated powder diffractogram of BaCuTe2 (a crystal structure in Alexandria, relaxed with GGA-PBE; Cu Kα).

Cell and atoms:
```
4
Lattice="2.2457 1.2965 7.2444 -2.2457 1.2965 7.2444 0.0000 -2.5931 7.2444" Properties=species:S:1:pos:R:3 pbc="T T T"
Ba 0.0000 0.0000 0.0000
Cu 0.0000 0.0000 10.8666
Te 0.0000 0.0000 4.9566
Te 0.0000 0.0000 16.7767
```

Main lines, by angle (15° ≤ 2θ ≤ 90°):
2θ 23.23, I 9
2θ 28.22, I 100
2θ 30.85, I 22
2θ 37.23, I 8
2θ 40.16, I 45
2θ 40.50, I 22
2θ 49.80, I 20
2θ 55.91, I 15
2θ 58.35, I 7
2θ 65.81, I 17
2θ 72.97, I 8
2θ 73.20, I 7

=====

[3]
Structure and calculated powder diffractogram of BaCuTe2 (a crystal structure in Alexandria, relaxed with GGA-PBE; Cu Kα).

Cell and atoms:
```
8
Lattice="4.6661 0.0000 0.0000 0.0000 4.6661 0.0000 0.0000 0.0000 11.0489" Properties=species:S:1:pos:R:3 pbc="T T T"
Ba 1.1665 1.1665 2.6575
Ba 3.4996 3.4996 8.3914
Cu 1.1665 3.4996 5.5245
Cu 3.4996 1.1665 5.5245
Te 1.1665 1.1665 6.9399
Te 1.1665 3.4996 0.0000
Te 3.4996 1.1665 0.0000
Te 3.4996 3.4996 4.1090
```

Main lines, by angle (15° ≤ 2θ ≤ 90°):
2θ 24.98, I 33
2θ 28.23, I 22
2θ 30.93, I 44
2θ 31.58, I 100
2θ 38.59, I 54
2θ 42.69, I 14
2θ 45.41, I 16
2θ 50.25, I 22
2θ 55.72, I 18
2θ 57.30, I 15
2θ 61.08, I 14
2θ 65.49, I 28

=====

[4]
Structure and calculated powder diffractogram of BaYbCuTe3 (a crystal structure in Alexandria, relaxed with GGA-PBE; Cu Kα).

Cell and atoms:
```
12
Lattice="2.2481 -7.2335 0.0000 2.2481 7.2335 0.0000 0.0000 0.0000 11.8402" Properties=species:S:1:pos:R:3 pbc="T T T"
Ba 2.2481 3.6459 8.8802
Ba 2.2481 -3.6459 2.9601
Yb 2.2481 0.0000 0.0000
Yb 2.2481 0.0000 5.9201
Cu 2.2481 6.6693 2.9601
Cu 2.2481 -6.6693 8.8802
Te 2.2481 5.1533 0.7723
Te 2.2481 5.1533 5.1478
Te 2.2481 0.8392 2.9601
Te 2.2481 -0.8392 8.8802
Te 2.2481 -5.1533 6.6924
Te 2.2481 -5.1533 11.0679
```

Main lines, by angle (15° ≤ 2θ ≤ 90°):
2θ 25.71, I 46
2θ 27.12, I 83
2θ 28.16, I 100
2θ 30.19, I 44
2θ 30.77, I 47
2θ 31.11, I 70
2θ 36.89, I 29
2θ 40.09, I 79
2θ 40.39, I 39
2θ 47.30, I 32
2θ 50.98, I 32
2θ 58.23, I 28

=====

[5]
Structure and calculated powder diffractogram of BaThCu10 (a crystal structure in Alexandria, relaxed with GGA-PBE; Cu Kα).

Cell and atoms:
```
12
Lattice="4.0390 0.0000 0.0000 0.0000 5.3443 0.0000 0.0000 0.0000 9.1753" Properties=species:S:1:pos:R:3 pbc="T T T"
Ba 0.0000 0.0000 0.0000
Th 0.0000 2.6722 4.5876
Cu 0.0000 0.0000 3.1323
Cu 0.0000 0.0000 6.0429
Cu 0.0000 2.6722 1.6151
Cu 0.0000 2.6722 7.5601
Cu 2.0195 0.0000 4.5876
Cu 2.0195 1.3989 2.4527
Cu 2.0195 1.3989 6.7226
Cu 2.0195 2.6722 0.0000
Cu 2.0195 3.9454 2.4527
Cu 2.0195 3.9454 6.7226
```

Main lines, by angle (15° ≤ 2θ ≤ 90°):
2θ 29.41, I 74
2θ 33.54, I 18
2θ 33.77, I 33
2θ 39.01, I 36
2θ 39.28, I 17
2θ 40.48, I 50
2θ 40.67, I 100
2θ 44.88, I 34
2θ 57.36, I 22
2θ 60.95, I 19
2θ 64.82, I 23
2θ 88.06, I 16

=====

[6]
Structure and calculated powder diffractogram of BaV2Cu (a crystal structure in Alexandria, relaxed with GGA-PBE; Cu Kα).

Cell and atoms:
```
8
Lattice="-2.1900 2.1900 9.9773 2.1900 -2.1900 9.9773 2.1900 2.1900 -9.9773" Properties=species:S:1:pos:R:3 pbc="T T T"
Ba 0.0000 0.0000 0.0000
Ba 0.0000 2.1900 4.9887
V 1.0950 2.0936 -2.4943
V 2.2863 1.0950 2.4943
V 1.0950 0.0964 7.4830
V -0.0964 1.0950 12.4716
Cu 2.1900 0.0000 4.9887
Cu 0.0000 0.0000 9.9773
```

Main lines, by angle (15° ≤ 2θ ≤ 90°):
2θ 17.78, I 17
2θ 24.33, I 31
2θ 30.23, I 100
2θ 36.01, I 29
2θ 39.77, I 39
2θ 41.22, I 17
2θ 45.22, I 27
2θ 54.73, I 18
2θ 55.87, I 14
2θ 62.83, I 20
2θ 68.38, I 16
2θ 74.16, I 12

=====

[7]
Structure and calculated powder diffractogram of Ba3Zn2Cu9 (a crystal structure in Alexandria, relaxed with GGA-PBE; Cu Kα).

Cell and atoms:
```
14
Lattice="-2.1473 5.2927 6.3134 2.1473 -5.2927 6.3134 2.1473 5.2927 -6.3134" Properties=species:S:1:pos:R:3 pbc="T T T"
Ba 0.0000 0.0000 0.0000
Ba 0.0000 0.0000 3.8007
Ba 0.0000 0.0000 8.8261
Zn 2.1473 2.8823 0.0000
Zn 0.0000 2.4104 6.3134
Cu 2.1473 2.2375 -2.4787
Cu 2.1473 -2.2470 5.0040
Cu 0.0000 3.0458 1.3094
Cu 2.1473 2.2375 2.4787
Cu 0.0000 5.2927 0.0000
Cu 0.0000 3.0552 3.8347
Cu 2.1473 2.2470 5.0040
Cu 0.0000 7.5397 1.3094
Cu 0.0000 3.0552 8.7921
```

Main lines, by angle (15° ≤ 2θ ≤ 90°):
2θ 22.74, I 32
2θ 29.72, I 53
2θ 32.85, I 100
2θ 33.10, I 66
2θ 33.87, I 94
2θ 34.31, I 85
2θ 35.88, I 36
2θ 41.48, I 74
2θ 42.08, I 84
2θ 45.03, I 64
2θ 54.57, I 59
2θ 55.08, I 45

=====

[8]
Structure and calculated powder diffractogram of Ba2ZnCu2 (a crystal structure in Alexandria, relaxed with GGA-PBE; Cu Kα).

Cell and atoms:
```
5
Lattice="2.1839 1.2609 9.6998 -2.1839 1.2609 9.6998 0.0000 -2.5218 9.6998" Properties=species:S:1:pos:R:3 pbc="T T T"
Ba 0.0000 0.0000 2.1394
Ba 0.0000 0.0000 26.9600
Zn 0.0000 0.0000 14.5497
Cu 0.0000 0.0000 5.2601
Cu 0.0000 0.0000 23.8393
```

Main lines, by angle (15° ≤ 2θ ≤ 90°):
2θ 23.72, I 88
2θ 24.31, I 33
2θ 27.59, I 39
2θ 28.14, I 21
2θ 31.99, I 100
2θ 34.20, I 56
2θ 37.07, I 21
2θ 41.34, I 91
2θ 50.43, I 42
2θ 53.21, I 23
2θ 56.73, I 35
2θ 69.53, I 21